(1)
This entry pairs a crystal structure of CaCu2Sn2 with its theoretical XRD peak list. Radiation: Cu Kα (weighted mean of Kα1 and Kα2). Structure: a crystal structure in the Materials Project, relaxed with GGA-PBE.
Peak positions follow from Bragg's law for the DFT cell and can differ from measured ones.

Crystal structure
Cell lengths 10.999, 4.251, 4.877 Å; angles 90.00, 107.80, 90.00 degrees
Space group C2/m (No. 12)
Symmetry-distinct sites (fractional):
1 Ca 0.000 0.000 0.000 x2
2 Cu 0.237 0.500 0.133 x4
3 Sn 0.143 0.500 0.568 x4

Largest 6 diffraction maxima, by angle, 2θ from 10° to 90°:
16.93°, intensity 64.1, (2 0 0)
31.43°, intensity 51.1, (1 1 1)
33.21°, intensity 100.0, (3 1 0)
33.77°, intensity 62.9, (4 0 -1)
42.54°, intensity 96.8, (0 2 0)
42.88°, intensity 64.6, (1 1 -2)

=====

(2)
This entry pairs a crystal structure of MgPH13O9 with its theoretical XRD peak list. Radiation: Cu Kα (weighted mean of Kα1 and Kα2). Structure: a crystal structure in the Materials Project, relaxed with GGA-PBE.
Peak positions follow from Bragg's law for the DFT cell and can differ from measured ones.

Crystal structure
Cell lengths 8.8935, 8.8935, 9.2389 Å; angles 90.00, 90.00, 120.00 degrees
Space group R3 (No. 146, hexagonal axes)
Symmetry-distinct sites (fractional):
1 Mg 0.0000 0.0000 0.0000 x3
2 P 0.0000 0.0000 0.5221 x3
3 H 0.0000 0.0000 0.3696 x3
4 H 0.0311 0.5639 0.8337 x9
5 H 0.0810 0.3472 0.5513 x9
6 H 0.1460 0.7717 0.8286 x9
7 H 0.1738 0.4783 0.4220 x9
8 O 0.0025 0.8067 0.1247 x9
9 O 0.1427 0.4746 0.5269 x9
10 O 0.1853 0.0510 0.5731 x9

Largest 6 diffraction maxima, by angle, 2θ from 10° to 90°:
19.97°, intensity 89.6, (1 1 0)
22.44°, intensity 100.0, (0 1 2)
28.99°, intensity 39.8, (0 0 3)
32.24°, intensity 79.7, (3 -1 1)
36.48°, intensity 44.3, (1 2 2)
50.44°, intensity 38.8, (3 -1 4)

=====

(3)
This entry pairs a crystal structure of ErSiAg with its theoretical XRD peak list. Radiation: Cu Kα (weighted mean of Kα1 and Kα2). Structure: a crystal structure in the Materials Project, relaxed with GGA-PBE.
Peak positions follow from Bragg's law for the DFT cell and can differ from measured ones.

Crystal structure
Cell lengths 7.0272, 7.0272, 4.1524 Å; angles 90.00, 90.00, 120.00 degrees
Space group P-62m (No. 189)
Symmetry-distinct sites (fractional):
1 Er 0.0000 0.5806 0.0000 x3
2 Si 0.0000 0.0000 0.0000 x1
3 Si 0.3333 0.6667 0.5000 x2
4 Ag 0.0000 0.2500 0.5000 x3

Largest 6 diffraction maxima, by angle, 2θ from 10° to 90°:
33.41°, intensity 100.0, (1 1 1)
36.61°, intensity 69.8, (2 0 1)
39.16°, intensity 52.1, (2 1 0)
43.59°, intensity 23.0, (0 0 2)
59.08°, intensity 31.4, (3 1 1)
60.03°, intensity 28.9, (2 1 2)

=====

(4)
This entry pairs a crystal structure of CaCoSi with its theoretical XRD peak list. Radiation: Cu Kα (weighted mean of Kα1 and Kα2). Structure: a crystal structure in the Materials Project, relaxed with GGA-PBE.
Peak positions follow from Bragg's law for the DFT cell and can differ from measured ones.

Crystal structure
Cell lengths 3.949, 3.949, 7.126 Å; angles 90.00, 90.00, 90.00 degrees
Space group P4/nmm (No. 129, origin choice 2)
Symmetry-distinct sites (fractional):
1 Ca 0.250 0.250 0.177 x2
2 Co 0.250 0.750 0.500 x2
3 Si 0.250 0.250 0.667 x2

Largest 6 diffraction maxima, by angle, 2θ from 10° to 90°:
12.42°, intensity 100.0, (0 0 1)
33.89°, intensity 34.7, (1 0 2)
34.50°, intensity 43.1, (1 1 1)
41.07°, intensity 61.0, (1 1 2)
45.96°, intensity 36.3, (2 0 0)
81.71°, intensity 14.1, (3 1 2)

=====

(5)
This entry pairs a crystal structure of NbCo3 with its theoretical XRD peak list. Radiation: Cu Kα (weighted mean of Kα1 and Kα2). Structure: a crystal structure in the Materials Project, relaxed with GGA-PBE.
Peak positions follow from Bragg's law for the DFT cell and can differ from measured ones.

Crystal structure
Cell lengths 4.7332, 4.7332, 15.4636 Å; angles 90.00, 90.00, 120.00 degrees
Space group P-3m1 (No. 164)
Symmetry-distinct sites (fractional):
1 Nb 0.0000 0.0000 0.0917 x2
2 Nb 0.3333 0.6667 0.1606 x2
3 Nb 0.3333 0.6667 0.3508 x2
4 Co 0.0000 0.0000 0.4128 x2
5 Co 0.0000 0.5000 0.0000 x3
6 Co 0.0000 0.5000 0.5000 x3
7 Co 0.1632 0.3265 0.7471 x6
8 Co 0.3333 0.6667 0.6250 x2
9 Co 0.3333 0.6667 0.8724 x2

Largest 6 diffraction maxima, by angle, 2θ from 10° to 90°:
38.02°, intensity 42.1, (1 1 0)
41.38°, intensity 62.3, (1 0 6)
44.91°, intensity 100.0, (1 1 4)
45.80°, intensity 58.1, (0 2 2)
73.51°, intensity 24.7, (0 0 12)
81.31°, intensity 23.7, (2 2 0)

=====

(6)
This entry pairs a crystal structure of NaGd3GeS7 with its theoretical XRD peak list. Radiation: Cu Kα (weighted mean of Kα1 and Kα2). Structure: a crystal structure in the Materials Project, relaxed with GGA-PBE.
Peak positions follow from Bragg's law for the DFT cell and can differ from measured ones.

Crystal structure
Cell lengths 10.0261, 10.0261, 5.8947 Å; angles 90.00, 90.00, 120.00 degrees
Space group P6_3 (No. 173)
Symmetry-distinct sites (fractional):
1 Na 0.0000 0.0000 0.0000 x2
2 Gd 0.1359 0.3623 0.2880 x6
3 Ge 0.3333 0.6667 0.8674 x2
4 S 0.1004 0.5799 0.0279 x6
5 S 0.1011 0.2619 0.7446 x6
6 S 0.3333 0.6667 0.4916 x2

Largest 6 diffraction maxima, by angle, 2θ from 10° to 90°:
20.46°, intensity 30.5, (2 0 0)
25.48°, intensity 100.0, (2 0 1)
35.83°, intensity 39.6, (2 2 0)
36.86°, intensity 33.4, (2 0 2)
37.34°, intensity 25.4, (1 3 0)
40.46°, intensity 26.1, (3 1 1)

=====

(7)
This entry pairs a crystal structure of AgBiO2 with its theoretical XRD peak list. Radiation: Cu Kα (weighted mean of Kα1 and Kα2). Structure: a crystal structure in the Materials Project, relaxed with GGA-PBE.
Peak positions follow from Bragg's law for the DFT cell and can differ from measured ones.

Crystal structure
Cell lengths 6.721, 3.603, 6.782 Å; angles 90.00, 113.65, 90.00 degrees
Space group P2_1/m (No. 11)
Symmetry-distinct sites (fractional):
1 Ag 0.019 0.250 0.182 x2
2 Bi 0.456 0.250 0.747 x2
3 O 0.318 0.750 0.912 x2
4 O 0.359 0.250 0.305 x2

Largest 6 diffraction maxima, by angle, 2θ from 10° to 90°:
14.39°, intensity 31.3, (1 0 0)
28.72°, intensity 60.4, (0 0 2)
29.01°, intensity 42.2, (2 0 0)
29.40°, intensity 100.0, (1 1 -1)
34.78°, intensity 54.0, (1 1 1)
49.29°, intensity 28.8, (2 0 2)

=====

(8)
This entry pairs a crystal structure of CaCoCu3Se4 with its theoretical XRD peak list. Radiation: Cu Kα (weighted mean of Kα1 and Kα2). Structure: a crystal structure in the Materials Project, relaxed with GGA-PBE.
Peak positions follow from Bragg's law for the DFT cell and can differ from measured ones.

Crystal structure
Cell lengths 5.911, 5.911, 5.911 Å; angles 90.00, 90.00, 90.00 degrees
Space group P-43m (No. 215)
Symmetry-distinct sites (fractional):
1 Ca 0.000 0.000 0.000 x1
2 Co 0.500 0.500 0.500 x1
3 Cu 0.000 0.500 0.500 x3
4 Se 0.269 0.269 0.731 x4

Largest 6 diffraction maxima, by angle, 2θ from 10° to 90°:
14.99°, intensity 32.0, (1 0 0)
26.11°, intensity 94.6, (1 1 1)
43.30°, intensity 100.0, (2 2 0)
51.26°, intensity 39.1, (3 1 1)
62.89°, intensity 14.6, (4 0 0)
79.43°, intensity 27.5, (4 2 2)

=====

(9)
This entry pairs a crystal structure of Na3YNbSi2PO12 with its theoretical XRD peak list. Radiation: Cu Kα (weighted mean of Kα1 and Kα2). Structure: a crystal structure in the Materials Project, relaxed with GGA-PBE.
Peak positions follow from Bragg's law for the DFT cell and can differ from measured ones.

Crystal structure
Cell lengths 16.022, 9.262, 9.220 Å; angles 90.00, 124.76, 90.00 degrees
Space group Cc (No. 9)
Symmetry-distinct sites (fractional):
1 Na 0.000 0.052 0.000 x4
2 Na 0.072 0.240 0.750 x4
3 Na 0.146 0.412 0.511 x4
4 Y 0.421 0.243 0.814 x4
5 Nb 0.225 0.244 0.204 x4
6 Si 0.176 0.093 0.504 x4
7 Si 0.322 0.454 0.016 x4
8 P 0.480 0.115 0.515 x4
9 O 0.060 0.293 0.010 x4
10 O 0.078 0.157 0.491 x4
11 O 0.178 0.135 0.326 x4
12 O 0.179 0.086 0.024 x4
13 O 0.234 0.365 0.027 x4
14 O 0.254 0.425 0.344 x4
15 O 0.271 0.169 0.669 x4
16 O 0.371 0.176 0.358 x4
17 O 0.392 0.453 0.692 x4
18 O 0.396 0.350 0.999 x4
19 O 0.493 0.136 0.689 x4
20 O 0.495 0.044 0.991 x4

Largest 6 diffraction maxima, by angle, 2θ from 10° to 90°:
19.15°, intensity 100.0, (3 1 -1)
19.25°, intensity 34.7, (2 0 -2)
30.35°, intensity 33.2, (3 1 1)
30.49°, intensity 34.9, (0 2 2)
30.65°, intensity 30.0, (3 1 -3)
33.53°, intensity 61.2, (6 0 -2)

=====

(10)
This entry pairs a crystal structure of K3B6BrO10 with its theoretical XRD peak list. Radiation: Cu Kα (weighted mean of Kα1 and Kα2). Structure: a crystal structure in the Materials Project, relaxed with GGA-PBE.
Peak positions follow from Bragg's law for the DFT cell and can differ from measured ones.

Crystal structure
Cell lengths 10.2159, 10.2159, 9.0591 Å; angles 90.00, 90.00, 120.00 degrees
Space group R3m (No. 160, hexagonal axes)
Symmetry-distinct sites (fractional):
1 K 0.0279 0.5140 0.0000 x9
2 B 0.0353 0.5176 0.5520 x9
3 B 0.1749 0.0875 0.0024 x9
4 Br 0.0000 0.0000 0.5507 x3
5 O 0.0000 0.0000 0.9993 x3
6 O 0.1013 0.4338 0.5899 x18
7 O 0.2203 0.4406 0.8225 x9

Largest 6 diffraction maxima, by angle, 2θ from 10° to 90°:
28.20°, intensity 100.0, (2 0 2)
28.45°, intensity 62.8, (2 1 1)
33.30°, intensity 17.1, (1 2 2)
35.14°, intensity 30.9, (2 2 0)
44.97°, intensity 22.6, (0 2 4)
45.65°, intensity 20.6, (0 4 2)

=====

Copy entry 1 word for word.
This entry pairs a crystal structure of CaCu2Sn2 with its theoretical XRD peak list. Radiation: Cu Kα (weighted mean of Kα1 and Kα2). Structure: a crystal structure in the Materials Project, relaxed with GGA-PBE.
Peak positions follow from Bragg's law for the DFT cell and can differ from measured ones.

Crystal structure
Cell lengths 10.999, 4.251, 4.877 Å; angles 90.00, 107.80, 90.00 degrees
Space group C2/m (No. 12)
Symmetry-distinct sites (fractional):
1 Ca 0.000 0.000 0.000 x2
2 Cu 0.237 0.500 0.133 x4
3 Sn 0.143 0.500 0.568 x4

Largest 6 diffraction maxima, by angle, 2θ from 10° to 90°:
16.93°, intensity 64.1, (2 0 0)
31.43°, intensity 51.1, (1 1 1)
33.21°, intensity 100.0, (3 1 0)
33.77°, intensity 62.9, (4 0 -1)
42.54°, intensity 96.8, (0 2 0)
42.88°, intensity 64.6, (1 1 -2)